Computed powder diffraction line list of TlHg3 for Cu Kα X-rays, from a PBE-relaxed structure.

```
data_TlHg3
_chemical_formula_sum 'Tl1 Hg3'
_cell_length_a 4.8823
_cell_length_b 4.8823
_cell_length_c 4.8823
_cell_angle_alpha 90.00
_cell_angle_beta 90.00
_cell_angle_gamma 90.00
_symmetry_space_group_name_H-M 'P m -3 m'
_symmetry_Int_Tables_number 221
_symmetry_space_group_name_Hall '-P 4 2 3'
loop_
_atom_site_label
_atom_site_type_symbol
_atom_site_fract_x
_atom_site_fract_y
_atom_site_fract_z
Tl1 Tl 0.0000 0.0000 0.0000
Hg1 Hg 0.0000 0.5000 0.5000
```

Main lines, by angle (15° ≤ 2θ ≤ 90°):
- 2θ = 31.7°, intensity 100
- 2θ = 36.8°, intensity 51
- 2θ = 53.1°, intensity 36
- 2θ = 63.2°, intensity 43
- 2θ = 66.3°, intensity 12
- 2θ = 78.3°, intensity 6
- 2θ = 87.0°, intensity 19
- 2θ = 89.8°, intensity 18